Diffraction record for PrPaPdO6. The powder X-ray diffraction pattern is theoretical, not measured: it uses DFT lattice parameters and positions (GGA-PBE) and CuKα.

Main lines, in order of rising 2θ (2θ from 10° to 90°):
2θ = 18.6°, intensity 9; 2θ = 26.0°, intensity 100; 2θ = 32.6°, intensity 42; 2θ = 42.1°, intensity 28; 2θ = 49.6°, intensity 38; 2θ = 54.3°, intensity 27; 2θ = 58.1°, intensity 13; 2θ = 59.5°, intensity 10; 2θ = 74.4°, intensity 11; 2θ = 78.8°, intensity 9

Unit cell a=5.498 b=5.498 c=4.935 alpha=90.00 beta=90.00 gamma=120.00
Atoms (fractional coordinates):
Pr (0.000, 0.000, 0.000)
Pa (0.667, 0.333, 0.500)
Pd (0.333, 0.667, 0.000)
O (0.012, 0.377, 0.244)
O (0.012, 0.634, 0.756)
O (0.366, 0.377, 0.756)
O (0.366, 0.988, 0.244)
O (0.623, 0.634, 0.244)
O (0.623, 0.988, 0.756)

Diffraction record for Ca3SmNi8. The powder X-ray diffraction pattern is theoretical, not measured: it uses DFT lattice parameters and positions (GGA-PBE) and CuKα.

Main lines, in order of rising 2θ (2θ from 10° to 90°):
2θ = 10.6°, intensity 12; 2θ = 20.4°, intensity 8; 2θ = 21.3°, intensity 9; 2θ = 35.2°, intensity 29; 2θ = 41.5°, intensity 100; 2θ = 43.5°, intensity 39; 2θ = 63.2°, intensity 10; 2θ = 67.5°, intensity 27; 2θ = 74.4°, intensity 24; 2θ = 89.0°, intensity 8

Unit cell a=8.822 b=8.822 c=8.822 alpha=33.61 beta=33.61 gamma=33.61
Atoms (fractional coordinates):
Ca (0.000, 0.000, 0.000)
Ca (0.123, 0.123, 0.123)
Ca (0.495, 0.495, 0.495)
Sm (0.622, 0.622, 0.622)
Ni (0.058, 0.560, 0.560)
Ni (0.060, 0.060, 0.563)
Ni (0.060, 0.563, 0.060)
Ni (0.310, 0.310, 0.310)
Ni (0.560, 0.058, 0.560)
Ni (0.560, 0.560, 0.058)
Ni (0.563, 0.060, 0.060)
Ni (0.810, 0.810, 0.810)

Diffraction record for Sm12MgAl4O3. The powder X-ray diffraction pattern is theoretical, not measured: it uses DFT lattice parameters and positions (GGA-PBE) and CuKα.

Main lines, in order of rising 2θ (2θ from 10° to 90°):
2θ = 17.6°, intensity 30; 2θ = 25.0°, intensity 12; 2θ = 30.8°, intensity 100; 2θ = 35.7°, intensity 59; 2θ = 40.1°, intensity 13; 2θ = 51.4°, intensity 40; 2θ = 61.1°, intensity 39; 2θ = 64.1°, intensity 13; 2θ = 83.8°, intensity 15; 2θ = 86.5°, intensity 16

Unit cell a=8.717 b=8.717 c=8.717 alpha=109.47 beta=109.47 gamma=109.47
Atoms (fractional coordinates):
Sm (0.000, 0.271, 0.271)
Sm (0.000, 0.729, 0.729)
Sm (0.250, 0.500, 0.750)
Sm (0.250, 0.750, 0.500)
Sm (0.271, 0.000, 0.271)
Sm (0.271, 0.271, 0.000)
Sm (0.500, 0.250, 0.750)
Sm (0.500, 0.750, 0.250)
Sm (0.729, 0.000, 0.729)
Sm (0.729, 0.729, 0.000)
Sm (0.750, 0.250, 0.500)
Sm (0.750, 0.500, 0.250)
Mg (0.000, 0.000, 0.000)
Al (0.000, 0.000, 0.500)
Al (0.000, 0.500, 0.000)
Al (0.500, 0.000, 0.000)
Al (0.500, 0.500, 0.500)
O (0.000, 0.500, 0.500)
O (0.500, 0.000, 0.500)
O (0.500, 0.500, 0.000)